[1]
For TmGaAg, DFT lattice parameters and positions (PBE) gives the calculated powder X-ray diffraction pattern in this record (Cu Kα (λ = 1.5418 Å)).
Intensities are scaled so that the largest is 100.

Structure:
```
TmGaAg
1.0
3.3925 0.0000 0.0000
0.0000 3.3925 0.0000
0.0000 0.0000 10.7566
Tm Ga Ag
2 2 2
Cartesian
0.0000 0.0000 0.0000 Tm
1.6962 1.6962 5.3783 Tm
0.0000 0.0000 7.2707 Ga
1.6962 1.6962 1.8924 Ga
0.0000 0.0000 3.3770 Ag
1.6962 1.6962 8.7553 Ag
```

Principal peaks in the range 2θ = 10–80°, in order of rising 2θ:
two_theta, I_rel
27.57, 16.6
33.32, 5.9
36.46, 100.0
37.49, 48.3
50.97, 15.4
54.06, 16.5
64.95, 19.3
66.84, 5.5
66.97, 32.7
77.46, 9.5



[2]
For Tm4Ga12Ag, DFT lattice parameters and positions (PBE) gives the calculated powder X-ray diffraction pattern in this record (Cu Kα (λ = 1.5418 Å)).
Intensities are scaled so that the largest is 100.

Structure:
```
Tm4Ga12Ag
1.0
-4.3188 4.3188 4.3188
4.3188 -4.3188 4.3188
4.3188 4.3188 -4.3188
Tm Ga Ag
4 12 1
Cartesian
2.1594 2.1594 -2.1594 Tm
2.1594 -2.1594 2.1594 Tm
-2.1594 2.1594 2.1594 Tm
2.1594 2.1594 2.1594 Tm
2.6194 0.0000 0.0000 Ga
6.0181 0.0000 0.0000 Ga
4.3188 2.1594 0.0000 Ga
4.3188 0.0000 2.1594 Ga
0.0000 2.6194 0.0000 Ga
0.0000 0.0000 2.6194 Ga
2.1594 4.3188 0.0000 Ga
2.1594 0.0000 4.3188 Ga
0.0000 6.0181 0.0000 Ga
0.0000 0.0000 6.0181 Ga
0.0000 4.3188 2.1594 Ga
0.0000 2.1594 4.3188 Ga
0.0000 0.0000 0.0000 Ag
```

Principal peaks in the range 2θ = 10–80°, in order of rising 2θ:
two_theta, I_rel
29.24, 43.7
36.02, 100.0
39.02, 12.8
41.83, 65.7
49.50, 10.1
51.86, 11.5
60.65, 37.0
68.73, 13.4
72.60, 28.7
76.39, 10.6